(1)
Theoretical powder X-ray diffraction pattern
Compound: Sm3As2Pd7
Radiation: a wavelength of 1.5418 Å
Structure: a GGA-PBE-relaxed structure

Principal peaks in the range 10° ≤ 2θ ≤ 90°, by angle:
Position (°2θ)	I_rel	index
30.85	18	1 1 0
31.52	24	1 1 2
36.62	100	1 1 6
40.64	23	1 1 8
42.20	25	1 0 11
44.19	51	2 0 0
62.75	15	2 1 11
64.27	16	2 2 0
69.28	13	1 1 18
76.31	20	3 1 6

Structural model:
```
data_Sm3As2Pd7
_chemical_formula_sum 'Sm6 As4 Pd14'
_cell_length_a 4.0991
_cell_length_b 4.0991
_cell_length_c 27.6226
_cell_angle_alpha 90.00
_cell_angle_beta 90.00
_cell_angle_gamma 90.00
_space_group_name_H-M_alt 'I 4/m m m'
_space_group_IT_number 139
_space_group_name_Hall '-I 4 2'
loop_
_atom_site_label
_atom_site_fract_x
_atom_site_fract_y
_atom_site_fract_z
Sm1 0.0000 0.0000 0.0000
Sm2 0.0000 0.0000 0.1712
As1 0.0000 0.0000 0.3680
Pd1 0.0000 0.0000 0.2751
Pd2 0.0000 0.0000 0.5000
Pd3 0.0000 0.5000 0.0781
```

=====

(2)
Theoretical powder X-ray diffraction pattern
Compound: PuMg2InPb2
Radiation: a wavelength of 1.5418 Å
Structure: a GGA-PBE-relaxed structure

Principal peaks in the range 10° ≤ 2θ ≤ 90°, by angle:
Position (°2θ)	I_rel	index
23.31	32	1 2 0
24.13	68	1 1 1
33.29	55	2 2 0
33.72	100	0 3 1
33.88	96	2 1 1
35.45	44	0 0 2
49.42	36	2 2 2
59.65	23	2 5 1
62.55	19	0 3 3
66.92	24	4 3 1

Structural model:
```
data_PuMg2InPb2
_chemical_formula_sum 'Pu2 Mg4 In2 Pb4'
_cell_length_a 6.5762
_cell_length_b 9.3689
_cell_length_c 5.0650
_cell_angle_alpha 90.00
_cell_angle_beta 90.00
_cell_angle_gamma 90.00
_space_group_name_H-M_alt 'P n n m'
_space_group_IT_number 58
_space_group_name_Hall '-P 2 2n'
loop_
_atom_site_label
_atom_site_fract_x
_atom_site_fract_y
_atom_site_fract_z
Pu1 0.0000 0.0000 0.0000
Mg1 0.2224 0.3393 0.0000
In1 0.0000 0.5000 0.5000
Pb1 0.2290 0.1712 0.5000
```